Diffraction record for NdEr4Tm5. The powder diffractogram is computed, not measured: it uses a cell relaxed with GGA-PBE and Cu Kα (weighted mean of Kα1 and Kα2).
Neutral-atom scattering factors, no anomalous dispersion.

Cell and atoms:
Cell lengths 3.5193, 6.5894, 13.9985 Å; angles 98.53, 93.45, 103.84 degrees
Space group P-1 (No. 2)
Symmetry-distinct sites (fractional):
Nd  0.0000  0.0000  0.0000 [1 per cell]
Er  0.1093  0.8085  0.2186 [2 per cell]
Er  0.2000  0.7290  0.8032 [2 per cell]
Tm  0.2061  0.8807  0.5835 [2 per cell]
Tm  0.4930  0.4268  0.6131 [2 per cell]
Tm  0.5000  0.5000  0.0000 [1 per cell]

Principal peaks in the range 2θ = 15–90°, by angle:
2θ 29.42, d 3.036, intensity 379, hkl -1 1 2
2θ 31.61, d 2.831, intensity 726, hkl 0 2 -3
2θ 32.50, d 2.755, intensity 547, hkl 0 0 5
2θ 32.92, d 2.721, intensity 510, hkl 1 1 0
2θ 33.15, d 2.702, intensity 1000, hkl 0 2 2
2θ 50.61, d 1.804, intensity 182, hkl 1 1 5